Entry 1:
For MgCo5CuO8, a structure optimized by DFT (GGA+U) gives the computed PXRD pattern in this record (Cu Ka).
Lines closer than 0.1° are merged.

Structure:
```
MgCo5CuO8
1.0
5.7928 0.0000 0.0000
-0.0131 5.9484 0.0000
-2.8941 -2.5067 4.5589
Mg Co Cu O
1 5 1 8
direct
0.0000 0.0000 0.0000
0.0000 0.0000 0.5000
0.1493 0.4671 0.2973
0.5000 0.0000 0.0000
0.5000 0.0000 0.5000
0.8507 0.5329 0.7027
0.5000 0.5000 0.0000
0.2222 0.2379 0.4442
0.2363 0.2498 0.9774
0.2583 0.7489 0.0240
0.2777 0.8041 0.5566
0.7223 0.1959 0.4434
0.7417 0.2511 0.9760
0.7637 0.7502 0.0226
0.7778 0.7621 0.5558
```

The 8 most intense peaks (2θ = 10–80°), in order of rising 2θ:
| 2θ (°) | d_spacing | I/Imax |
| --- | --- | --- |
| 30.18 | 2.961 | 46 |
| 33.29 | 2.691 | 66 |
| 34.41 | 2.606 | 44 |
| 35.46 | 2.532 | 51 |
| 36.34 | 2.472 | 100 |
| 39.53 | 2.279 | 34 |
| 43.74 | 2.070 | 63 |
| 62.77 | 1.480 | 59 |


Entry 2:
For LaZnFeSnO6, a structure optimized by DFT (GGA+U) gives the computed PXRD pattern in this record (Cu Ka).
Lines closer than 0.1° are merged.

Structure:
```
LaZnFeSnO6
1.0
5.4450 0.0000 0.0000
0.0000 5.6538 0.0000
-5.3654 0.0000 7.9485
La Zn Fe Sn O
2 2 2 2 12
direct
0.0000 0.2092 0.0000
0.0000 0.7908 0.5000
0.5301 0.2816 0.4948
0.5301 0.7184 0.9948
0.7612 0.2551 0.2486
0.7612 0.7449 0.7486
0.2629 0.2579 0.7485
0.2629 0.7421 0.2485
0.1577 0.2215 0.5000
0.1577 0.7785 0.0000
0.4207 0.2969 0.0037
0.4207 0.7031 0.5037
0.5186 0.0524 0.3124
0.5186 0.9476 0.8124
0.6138 0.4834 0.8202
0.6138 0.5166 0.3202
0.8870 0.0579 0.6866
0.8870 0.9421 0.1866
0.9839 0.4618 0.1913
0.9839 0.5382 0.6913
```

The 8 most intense peaks (2θ = 10–80°), in order of rising 2θ:
| 2θ (°) | d_spacing | I/Imax |
| --- | --- | --- |
| 31.65 | 2.827 | 46 |
| 31.94 | 2.802 | 100 |
| 32.18 | 2.781 | 97 |
| 32.90 | 2.722 | 40 |
| 45.65 | 1.987 | 25 |
| 46.30 | 1.961 | 46 |
| 56.59 | 1.626 | 40 |
| 58.44 | 1.579 | 22 |


Entry 3:
For Li9Co7O16, a structure optimized by DFT (GGA+U) gives the computed PXRD pattern in this record (Cu Ka).
Lines closer than 0.1° are merged.

Structure:
```
Li9Co7O16
1.0
6.2189 -1.5091 0.0000
6.2189 1.5091 0.0000
-0.0631 0.0000 15.4584
Li Co O
9 7 16
direct
0.0000 0.0000 0.0000
0.0582 0.0582 0.8126
0.1871 0.1871 0.4372
0.3132 0.3132 0.0596
0.4391 0.4391 0.6873
0.5609 0.5609 0.3127
0.6868 0.6868 0.9404
0.8129 0.8129 0.5628
0.9418 0.9418 0.1874
0.1268 0.1268 0.6255
0.2471 0.2471 0.2485
0.3781 0.3781 0.8816
0.5000 0.5000 0.5000
0.6219 0.6219 0.1184
0.7529 0.7529 0.7515
0.8732 0.8732 0.3745
0.0225 0.0225 0.4086
0.1013 0.1013 0.2161
0.1537 0.1537 0.0387
0.2316 0.2316 0.8433
0.2755 0.2755 0.6592
0.3506 0.3506 0.4659
0.3965 0.3965 0.2824
0.4845 0.4845 0.0985
0.5155 0.5155 0.9015
0.6035 0.6035 0.7176
0.6494 0.6494 0.5341
0.7245 0.7245 0.3408
0.7684 0.7684 0.1567
0.8463 0.8463 0.9613
0.8987 0.8987 0.7839
0.9775 0.9775 0.5914
```

The 8 most intense peaks (2θ = 10–80°), in order of rising 2θ:
| 2θ (°) | d_spacing | I/Imax |
| --- | --- | --- |
| 18.28 | 4.854 | 100 |
| 35.22 | 2.548 | 32 |
| 37.19 | 2.418 | 10 |
| 42.46 | 2.129 | 59 |
| 45.34 | 2.000 | 23 |
| 56.10 | 1.639 | 9 |
| 63.30 | 1.469 | 14 |
| 64.41 | 1.447 | 13 |


Entry 4:
For Li5Fe8B8O24, a structure optimized by DFT (GGA+U) gives the computed PXRD pattern in this record (Cu Ka).
Lines closer than 0.1° are merged.

Structure:
```
Li5Fe8B8O24
1.0
5.2556 0.0000 0.0000
2.6210 4.5582 0.0000
0.0112 0.3445 20.2010
Li Fe B O
5 8 8 24
direct
0.0000 0.0000 0.0000
0.9997 0.0009 0.5027
0.3048 0.6738 0.6364
0.3130 0.6754 0.1317
0.9722 0.9857 0.2532
0.3292 0.3345 0.0182
0.3286 0.3387 0.5183
0.6296 0.0101 0.8916
0.6317 0.0088 0.3925
0.6358 0.6556 0.2699
0.6516 0.6648 0.7654
0.9666 0.3283 0.6429
0.9690 0.3403 0.1433
0.3056 0.3320 0.2685
0.3102 0.3351 0.7672
0.6402 0.0056 0.6430
0.6423 0.0043 0.1441
0.6523 0.6628 0.0188
0.6531 0.6655 0.5192
0.9714 0.3423 0.3959
0.9721 0.3430 0.8938
0.0476 0.3512 0.7495
0.0634 0.3050 0.2516
0.2374 0.3207 0.9124
0.2405 0.3159 0.4121
0.2954 0.5959 0.2625
0.3538 0.5672 0.7595
0.3796 0.6879 0.0268
0.3827 0.6873 0.5273
0.3841 0.2609 0.6247
0.3930 0.2618 0.1236
0.5367 0.0657 0.7925
0.5685 0.0797 0.2905
0.6188 0.7596 0.6649
0.6229 0.7557 0.1600
0.6721 0.9102 0.4963
0.6730 0.9058 0.9954
0.7430 0.6092 0.3736
0.7486 0.6081 0.8680
0.9062 0.4015 0.0350
0.9079 0.4058 0.5355
0.9079 0.9858 0.6392
0.9106 0.9920 0.1503
0.9271 0.1106 0.9039
0.9339 0.1030 0.4033
```

The 8 most intense peaks (2θ = 10–80°), in order of rising 2θ:
| 2θ (°) | d_spacing | I/Imax |
| --- | --- | --- |
| 19.50 | 4.553 | 87 |
| 21.49 | 4.134 | 100 |
| 26.11 | 3.413 | 27 |
| 26.24 | 3.396 | 26 |
| 34.10 | 2.629 | 80 |
| 35.55 | 2.525 | 82 |
| 40.48 | 2.228 | 37 |
| 61.02 | 1.518 | 28 |


Entry 5:
For VOF, a structure optimized by DFT (GGA+U) gives the computed PXRD pattern in this record (Cu Ka).
Lines closer than 0.1° are merged.

Structure:
```
VOF
1.0
1.7204 0.9933 6.0203
-1.7204 0.9933 6.0203
0.0000 -1.9865 6.0203
V O F
2 2 2
direct
0.2395 0.2395 0.2395
0.7605 0.7605 0.7605
0.1249 0.1249 0.1249
0.8751 0.8751 0.8751
0.3734 0.3734 0.3734
0.6266 0.6266 0.6266
```

The 8 most intense peaks (2θ = 10–80°), in order of rising 2θ:
| 2θ (°) | d_spacing | I/Imax |
| --- | --- | --- |
| 29.68 | 3.010 | 32 |
| 31.62 | 2.830 | 100 |
| 50.73 | 1.799 | 55 |
| 53.24 | 1.720 | 56 |
| 59.88 | 1.545 | 9 |
| 62.15 | 1.494 | 20 |
| 63.26 | 1.470 | 11 |
| 76.63 | 1.244 | 13 |


Entry 6:
For Sr2NiClO3, a structure optimized by DFT (GGA+U) gives the computed PXRD pattern in this record (Cu Ka).
Lines closer than 0.1° are merged.

Structure:
```
Sr2NiClO3
1.0
5.5029 0.0000 0.0000
-0.0015 5.5157 0.0000
-2.7507 -2.7521 14.7171
Sr Ni Cl O
8 4 4 12
direct
0.0797 0.3297 0.1594
0.2025 0.4524 0.4052
0.2972 0.0471 0.5941
0.4200 0.1699 0.8399
0.5800 0.8301 0.1601
0.7028 0.9529 0.4059
0.7975 0.5476 0.5948
0.9203 0.6703 0.8406
0.1454 0.8956 0.2915
0.3515 0.6015 0.7027
0.6485 0.3985 0.2973
0.8546 0.1044 0.7085
0.0382 0.7882 0.0762
0.4593 0.7093 0.9187
0.5407 0.2907 0.0813
0.9618 0.2118 0.9238
0.1063 0.3562 0.7276
0.1061 0.8719 0.7275
0.2126 0.9627 0.4256
0.2855 0.5354 0.5709
0.3783 0.1283 0.2725
0.3781 0.6441 0.2725
0.6219 0.3559 0.7275
0.6217 0.8717 0.7275
0.7145 0.4646 0.4291
0.7874 0.0373 0.5744
0.8939 0.1281 0.2725
0.8937 0.6438 0.2724
```

The 8 most intense peaks (2θ = 10–80°), in order of rising 2θ:
| 2θ (°) | d_spacing | I/Imax |
| --- | --- | --- |
| 12.03 | 7.359 | 28 |
| 29.27 | 3.051 | 27 |
| 32.50 | 2.755 | 89 |
| 33.50 | 2.675 | 100 |
| 38.33 | 2.348 | 22 |
| 40.93 | 2.205 | 25 |
| 46.63 | 1.948 | 48 |
| 58.58 | 1.576 | 19 |


Entry 7:
For Mn3Cd3Te2O12, a structure optimized by DFT (GGA+U) gives the computed PXRD pattern in this record (Cu Ka).
Lines closer than 0.1° are merged.

Structure:
```
Mn3Cd3Te2O12
1.0
4.5742 2.6409 3.7140
-4.5742 2.6409 3.7140
0.0000 -5.2818 3.7140
Mn Cd Te O
3 3 2 12
direct
0.1108 0.5944 0.2947
0.2947 0.1108 0.5944
0.5944 0.2947 0.1108
0.5011 0.8001 0.9841
0.8001 0.9841 0.5011
0.9841 0.5011 0.8001
0.0536 0.0536 0.0536
0.5424 0.5424 0.5424
0.1138 0.7601 0.9989
0.1202 0.9832 0.3423
0.2511 0.4619 0.5795
0.3423 0.1202 0.9832
0.4619 0.5795 0.2511
0.4904 0.8329 0.6193
0.5795 0.2511 0.4619
0.6193 0.4904 0.8329
0.7601 0.9989 0.1138
0.8329 0.6193 0.4904
0.9832 0.3423 0.1202
0.9989 0.1138 0.7601
```

The 8 most intense peaks (2θ = 10–80°), in order of rising 2θ:
| 2θ (°) | d_spacing | I/Imax |
| --- | --- | --- |
| 19.44 | 4.567 | 34 |
| 23.96 | 3.714 | 24 |
| 27.63 | 3.228 | 51 |
| 30.95 | 2.889 | 100 |
| 33.98 | 2.638 | 80 |
| 44.42 | 2.040 | 31 |
| 52.97 | 1.729 | 40 |
| 53.24 | 1.721 | 19 |